Entry 1:
Diffraction record for CsPu3Hg2F12. The powder diffractogram is calculated, not measured: it uses the GGA-PBE geometry in Alexandria and Cu Ka.
No peak broadening, texture or thermal motion is included.

```
CsPu3Hg2F12
1.0
4.4432 2.5653 7.2469
-4.4432 2.5653 7.2469
0.0000 -5.1306 7.2469
Cs Pu Hg F
1 3 2 12
Direct
0.0000 0.0000 0.0000 Cs
0.0000 0.0000 0.5000 Pu
0.0000 0.5000 0.0000 Pu
0.5000 0.0000 0.0000 Pu
0.3911 0.3911 0.3911 Hg
0.6089 0.6089 0.6089 Hg
0.0641 0.7218 0.7218 F
0.0953 0.0953 0.5971 F
0.0953 0.5971 0.0953 F
0.2782 0.2782 0.9359 F
0.2782 0.9359 0.2782 F
0.4029 0.9047 0.9047 F
0.5971 0.0953 0.0953 F
0.7218 0.0641 0.7218 F
0.7218 0.7218 0.0641 F
0.9047 0.4029 0.9047 F
0.9047 0.9047 0.4029 F
0.9359 0.2782 0.2782 F
```

Largest 12 diffraction maxima, low angle first, 5 to 70 degrees two-theta:
2θ = 12.21°, d = 7.248 Å, I = 20
2θ = 20.00°, d = 4.440 Å, I = 20
2θ = 23.49°, d = 3.788 Å, I = 100
2θ = 24.54°, d = 3.627 Å, I = 43
2θ = 34.99°, d = 2.565 Å, I = 6
2θ = 37.19°, d = 2.417 Å, I = 35
2θ = 40.62°, d = 2.221 Å, I = 37
2θ = 47.45°, d = 1.916 Å, I = 18
2θ = 48.05°, d = 1.894 Å, I = 24
2θ = 56.25°, d = 1.635 Å, I = 26
2θ = 64.20°, d = 1.451 Å, I = 12
2θ = 64.68°, d = 1.441 Å, I = 11

***

Entry 2:
Diffraction record for TlAgC. The powder diffractogram is calculated, not measured: it uses the GGA-PBE geometry in Alexandria and Cu Ka.
No peak broadening, texture or thermal motion is included.

```
TlAgC
1.0
5.3774 0.0000 0.0000
2.6666 4.9024 0.0000
1.5111 1.5473 5.2974
Tl Ag C
2 2 2
Direct
0.0000 0.0000 0.0000 Tl
0.3029 0.3249 0.1137 Tl
0.6346 0.6462 0.1488 Ag
0.7684 0.6593 0.6068 Ag
0.1539 0.6668 0.5790 C
0.3949 0.6599 0.5678 C
```

Largest 12 diffraction maxima, low angle first, 5 to 70 degrees two-theta:
2θ = 16.74°, d = 5.297 Å, I = 100
2θ = 21.08°, d = 4.214 Å, I = 25
2θ = 26.73°, d = 3.336 Å, I = 36
2θ = 28.69°, d = 3.112 Å, I = 32
2θ = 32.15°, d = 2.784 Å, I = 64
2θ = 32.38°, d = 2.765 Å, I = 37
2θ = 33.85°, d = 2.648 Å, I = 53
2θ = 34.15°, d = 2.625 Å, I = 45
2θ = 34.67°, d = 2.588 Å, I = 91
2θ = 34.86°, d = 2.573 Å, I = 22
2θ = 37.99°, d = 2.369 Å, I = 22
2θ = 38.61°, d = 2.332 Å, I = 25

***

Entry 3:
Diffraction record for RbBa2Br5. The powder diffractogram is calculated, not measured: it uses the GGA-PBE geometry in Alexandria and Cu Ka.
No peak broadening, texture or thermal motion is included.

```
RbBa2Br5
1.0
4.9141 0.0000 0.0000
0.0000 8.0703 0.0000
0.0000 0.0000 16.9422
Rb Ba Br
2 4 10
Direct
0.0000 0.0000 0.0000 Rb
0.5000 0.5000 0.5000 Rb
0.0000 0.5000 0.1856 Ba
0.0000 0.5000 0.8144 Ba
0.5000 0.0000 0.3144 Ba
0.5000 0.0000 0.6856 Ba
0.0000 0.2660 0.3471 Br
0.0000 0.2660 0.6529 Br
0.0000 0.5000 0.0000 Br
0.0000 0.7340 0.3471 Br
0.0000 0.7340 0.6529 Br
0.5000 0.0000 0.5000 Br
0.5000 0.2340 0.1529 Br
0.5000 0.2340 0.8471 Br
0.5000 0.7660 0.1529 Br
0.5000 0.7660 0.8471 Br
```

Largest 12 diffraction maxima, low angle first, 5 to 70 degrees two-theta:
2θ = 19.18°, d = 4.627 Å, I = 31
2θ = 21.17°, d = 4.197 Å, I = 45
2θ = 23.66°, d = 3.761 Å, I = 31
2θ = 24.01°, d = 3.707 Å, I = 23
2θ = 29.12°, d = 3.067 Å, I = 100
2θ = 30.60°, d = 2.922 Å, I = 34
2θ = 31.69°, d = 2.824 Å, I = 41
2θ = 32.09°, d = 2.790 Å, I = 26
2θ = 32.81°, d = 2.730 Å, I = 53
2θ = 36.57°, d = 2.457 Å, I = 37
2θ = 39.26°, d = 2.295 Å, I = 40
2θ = 49.15°, d = 1.854 Å, I = 24

***

Entry 4:
Diffraction record for Pu2Sb3. The powder diffractogram is calculated, not measured: it uses the GGA-PBE geometry in Alexandria and Cu Ka.
No peak broadening, texture or thermal motion is included.

```
Pu2Sb3
1.0
11.8956 0.0000 0.0000
0.0000 4.3079 0.0000
0.0000 0.0000 11.1376
Pu Sb
8 12
Direct
0.0003 0.2500 0.2499 Pu
0.9997 0.7500 0.7501 Pu
0.2500 0.2500 0.5566 Pu
0.2500 0.7500 0.0566 Pu
0.5003 0.2500 0.2501 Pu
0.4997 0.7500 0.7499 Pu
0.7500 0.2500 0.9434 Pu
0.7500 0.7500 0.4434 Pu
0.0757 0.2500 0.9397 Sb
0.0757 0.7500 0.4397 Sb
0.2502 0.2500 0.2700 Sb
0.2498 0.7500 0.7700 Sb
0.4243 0.2500 0.9397 Sb
0.4243 0.7500 0.4397 Sb
0.5757 0.2500 0.5603 Sb
0.5757 0.7500 0.0603 Sb
0.7502 0.2500 0.2300 Sb
0.7498 0.7500 0.7300 Sb
0.9243 0.2500 0.5603 Sb
0.9243 0.7500 0.0603 Sb
```

Largest 12 diffraction maxima, low angle first, 5 to 70 degrees two-theta:
2θ = 21.86°, d = 4.065 Å, I = 15
2θ = 22.12°, d = 4.018 Å, I = 14
2θ = 27.62°, d = 3.230 Å, I = 20
2θ = 30.05°, d = 2.974 Å, I = 25
2θ = 31.70°, d = 2.822 Å, I = 71
2θ = 31.82°, d = 2.812 Å, I = 100
2θ = 37.63°, d = 2.390 Å, I = 20
2θ = 39.55°, d = 2.279 Å, I = 26
2θ = 41.94°, d = 2.154 Å, I = 27
2θ = 44.33°, d = 2.043 Å, I = 33
2θ = 59.01°, d = 1.565 Å, I = 18
2θ = 66.80°, d = 1.401 Å, I = 14

***

Entry 5:
Diffraction record for HfVMoRh. The powder diffractogram is calculated, not measured: it uses the GGA-PBE geometry in Alexandria and Cu Ka.
No peak broadening, texture or thermal motion is included.

```
HfVMoRh
1.0
6.3301 0.0000 0.0000
0.0000 6.3301 0.0000
0.0000 0.0000 6.3301
Hf V Mo Rh
4 4 4 4
Direct
0.0000 0.0000 0.0000 Hf
0.0000 0.5000 0.5000 Hf
0.5000 0.0000 0.5000 Hf
0.5000 0.5000 0.0000 Hf
0.0000 0.0000 0.5000 V
0.0000 0.5000 0.0000 V
0.5000 0.0000 0.0000 V
0.5000 0.5000 0.5000 V
0.2500 0.2500 0.7500 Mo
0.2500 0.7500 0.2500 Mo
0.7500 0.2500 0.2500 Mo
0.7500 0.7500 0.7500 Mo
0.2500 0.2500 0.2500 Rh
0.2500 0.7500 0.7500 Rh
0.7500 0.2500 0.7500 Rh
0.7500 0.7500 0.2500 Rh
```

Largest 5 diffraction maxima, low angle first, 5 to 70 degrees two-theta:
2θ = 24.35°, d = 3.655 Å, I = 21
2θ = 40.30°, d = 2.238 Å, I = 100
2θ = 47.65°, d = 1.909 Å, I = 11
2θ = 58.31°, d = 1.583 Å, I = 17
2θ = 64.13°, d = 1.452 Å, I = 5

***

Entry 6:
Diffraction record for Sn3I5F. The powder diffractogram is calculated, not measured: it uses the GGA-PBE geometry in Alexandria and Cu Ka.
No peak broadening, texture or thermal motion is included.

```
Sn3I5F
1.0
7.5977 -5.5905 0.0000
7.5977 5.5905 0.0000
-3.8810 0.0000 8.8587
Sn I F
6 10 2
Direct
0.0000 0.0000 0.0000 Sn
0.0000 0.0000 0.5000 Sn
0.2196 0.2196 0.4106 Sn
0.3459 0.3459 0.8577 Sn
0.6541 0.6541 0.1423 Sn
0.7804 0.7804 0.5894 Sn
0.0009 0.3649 0.6353 I
0.2248 0.2248 0.0790 I
0.2866 0.7134 0.0000 I
0.3649 0.0009 0.6353 I
0.4316 0.4316 0.6250 I
0.5684 0.5684 0.3750 I
0.6351 0.9991 0.3647 I
0.7134 0.2866 0.0000 I
0.7752 0.7752 0.9210 I
0.9991 0.6351 0.3647 I
0.0423 0.0423 0.2809 F
0.9577 0.9577 0.7191 F
```

Largest 12 diffraction maxima, low angle first, 5 to 70 degrees two-theta:
2θ = 12.65°, d = 6.998 Å, I = 35
2θ = 15.85°, d = 5.590 Å, I = 53
2θ = 18.95°, d = 4.684 Å, I = 32
2θ = 20.06°, d = 4.427 Å, I = 32
2θ = 24.93°, d = 3.571 Å, I = 100
2θ = 25.73°, d = 3.463 Å, I = 34
2θ = 29.71°, d = 3.007 Å, I = 57
2θ = 30.78°, d = 2.905 Å, I = 32
2θ = 32.03°, d = 2.794 Å, I = 51
2θ = 33.67°, d = 2.662 Å, I = 35
2θ = 38.80°, d = 2.321 Å, I = 34
2θ = 38.94°, d = 2.313 Å, I = 40

***

Entry 7:
Diffraction record for CaBSe. The powder diffractogram is calculated, not measured: it uses the GGA-PBE geometry in Alexandria and Cu Ka.
No peak broadening, texture or thermal motion is included.

```
CaBSe
1.0
4.1501 0.0000 0.0000
0.0000 4.5315 0.0000
0.0000 0.0000 12.5723
Ca B Se
4 4 4
Direct
0.0000 0.0000 0.1388 Ca
0.0000 0.0000 0.8612 Ca
0.5000 0.5000 0.3612 Ca
0.5000 0.5000 0.6388 Ca
0.0000 0.3267 0.5000 B
0.0000 0.6733 0.5000 B
0.5000 0.1733 0.0000 B
0.5000 0.8267 0.0000 B
0.0000 0.0000 0.3743 Se
0.0000 0.0000 0.6257 Se
0.5000 0.5000 0.1257 Se
0.5000 0.5000 0.8743 Se
```

Largest 12 diffraction maxima, low angle first, 5 to 70 degrees two-theta:
2θ = 22.56°, d = 3.941 Å, I = 20
2θ = 28.40°, d = 3.143 Å, I = 47
2θ = 29.18°, d = 3.061 Å, I = 100
2θ = 39.78°, d = 2.266 Å, I = 21
2θ = 41.17°, d = 2.193 Å, I = 82
2θ = 43.62°, d = 2.075 Å, I = 19
2θ = 49.60°, d = 1.838 Å, I = 24
2θ = 52.88°, d = 1.732 Å, I = 17
2θ = 60.50°, d = 1.530 Å, I = 12
2θ = 65.79°, d = 1.419 Å, I = 11
2θ = 66.93°, d = 1.398 Å, I = 15
2θ = 68.16°, d = 1.376 Å, I = 18

***

Entry 8:
Diffraction record for BaGeAu3. The powder diffractogram is calculated, not measured: it uses the GGA-PBE geometry in Alexandria and Cu Ka.
No peak broadening, texture or thermal motion is included.

```
BaGeAu3
1.0
5.1062 0.0000 0.0000
0.0000 5.1062 0.0000
0.0000 0.0000 5.1062
Ba Ge Au
1 1 3
Direct
0.0000 0.0000 0.0000 Ba
0.5000 0.5000 0.5000 Ge
0.0000 0.5000 0.5000 Au
0.5000 0.0000 0.5000 Au
0.5000 0.5000 0.0000 Au
```

Largest 9 diffraction maxima, low angle first, 5 to 70 degrees two-theta:
2θ = 17.37°, d = 5.106 Å, I = 13
2θ = 30.32°, d = 2.948 Å, I = 100
2θ = 35.15°, d = 2.553 Å, I = 78
2θ = 39.46°, d = 2.284 Å, I = 7
2θ = 50.56°, d = 1.805 Å, I = 56
2θ = 53.86°, d = 1.702 Å, I = 4
2θ = 60.10°, d = 1.540 Å, I = 44
2θ = 63.07°, d = 1.474 Å, I = 19
2θ = 65.96°, d = 1.416 Å, I = 2